Entry 1:
Starting from a PBE-relaxed structure, the powder XRD pattern of Mg3Be2Pt5 was computed for Cu Kα X-rays.

Crystal structure
a b c (Å): 9.3178 9.3178 3.3778
angles (deg): 90.00 90.00 90.00
Fractional positions:
Mg: 0.0000 0.0000 0.0000
Mg: 0.1742 0.3258 0.0000
Mg: 0.3258 0.8258 0.0000
Mg: 0.5000 0.5000 0.0000
Mg: 0.6742 0.1742 0.0000
Mg: 0.8258 0.6742 0.0000
Be: 0.1251 0.6251 0.0000
Be: 0.3749 0.1251 0.0000
Be: 0.6251 0.8749 0.0000
Be: 0.8749 0.3749 0.0000
Pt: 0.0000 0.5000 0.5000
Pt: 0.0730 0.7887 0.5000
Pt: 0.2113 0.0730 0.5000
Pt: 0.2887 0.5730 0.5000
Pt: 0.4270 0.2887 0.5000
Pt: 0.5000 0.0000 0.5000
Pt: 0.5730 0.7113 0.5000
Pt: 0.7113 0.4270 0.5000
Pt: 0.7887 0.9270 0.5000
Pt: 0.9270 0.2113 0.5000

Top 12 peaks for 2θ = 5–70°, by angle:
2θ = 21.3°, intensity 31
2θ = 26.4°, intensity 100
2θ = 30.3°, intensity 45
2θ = 34.2°, intensity 33
2θ = 34.7°, intensity 40
2θ = 39.9°, intensity 53
2θ = 40.6°, intensity 72
2θ = 43.4°, intensity 29
2θ = 44.1°, intensity 48
2θ = 48.5°, intensity 44
2θ = 51.5°, intensity 25
2θ = 69.5°, intensity 21

Entry 2:
Starting from a PBE-relaxed structure, the powder XRD pattern of MgBeRePt2 was computed for Cu Kα X-rays.

Crystal structure
a b c (Å): 4.8097 4.8097 4.9360
angles (deg): 90.00 90.00 90.00
Fractional positions:
Mg: 0.0000 0.0000 0.0000
Be: 0.5000 0.5000 0.0000
Re: 0.0000 0.0000 0.5000
Pt: 0.0000 0.5000 0.5000
Pt: 0.5000 0.0000 0.5000

Top 12 peaks for 2θ = 5–70°, by angle:
2θ = 18.0°, intensity 100
2θ = 18.4°, intensity 28
2θ = 25.9°, intensity 16
2θ = 32.0°, intensity 19
2θ = 36.4°, intensity 22
2θ = 37.4°, intensity 41
2θ = 41.8°, intensity 49
2θ = 53.2°, intensity 30
2θ = 53.9°, intensity 15
2θ = 57.3°, intensity 20
2θ = 66.8°, intensity 15
2θ = 69.2°, intensity 11

Entry 3:
Starting from a PBE-relaxed structure, the powder XRD pattern of Sm2MgBePt6 was computed for Cu Kα X-rays.

Crystal structure
a b c (Å): 7.5616 7.5616 7.5616
angles (deg): 44.14 44.14 44.14
Fractional positions:
Sm: 0.2124 0.2124 0.2124
Sm: 0.7876 0.7876 0.7876
Mg: 0.5000 0.5000 0.5000
Be: 0.0000 0.0000 0.0000
Pt: 0.2395 0.2395 0.7259
Pt: 0.2395 0.7259 0.2395
Pt: 0.2741 0.7605 0.7605
Pt: 0.7259 0.2395 0.2395
Pt: 0.7605 0.2741 0.7605
Pt: 0.7605 0.7605 0.2741

Top 12 peaks for 2θ = 5–70°, by angle:
2θ = 26.2°, intensity 44
2θ = 28.4°, intensity 25
2θ = 34.2°, intensity 14
2θ = 35.8°, intensity 17
2θ = 37.6°, intensity 100
2θ = 39.7°, intensity 11
2θ = 40.7°, intensity 70
2θ = 41.4°, intensity 8
2θ = 51.5°, intensity 25
2θ = 58.9°, intensity 11
2θ = 62.7°, intensity 8
2θ = 65.7°, intensity 23

Entry 4:
Starting from a PBE-relaxed structure, the powder XRD pattern of RbMg2Be was computed for Cu Kα X-rays.

Crystal structure
a b c (Å): 8.6659 8.6659 8.6659
angles (deg): 136.67 136.67 62.94
Fractional positions:
Rb: 0.3750 0.6250 0.7500
Rb: 0.6250 0.3750 0.2500
Mg: 0.0000 0.0000 0.0000
Mg: 0.0000 0.0000 0.5000
Mg: 0.0000 0.5000 0.0000
Mg: 0.5000 0.0000 0.5000
Be: 0.1250 0.8750 0.2500
Be: 0.8750 0.1250 0.7500

Top 12 peaks for 2θ = 5–70°, by angle:
2θ = 15.1°, intensity 25
2θ = 22.8°, intensity 80
2θ = 23.0°, intensity 100
2θ = 27.9°, intensity 31
2θ = 31.9°, intensity 68
2θ = 33.4°, intensity 30
2θ = 37.2°, intensity 28
2θ = 41.7°, intensity 20
2θ = 46.5°, intensity 33
2θ = 47.1°, intensity 33
2θ = 51.9°, intensity 17
2θ = 57.6°, intensity 17

Entry 5:
Starting from a PBE-relaxed structure, the powder XRD pattern of Rb2MgBeSb2 was computed for Cu Kα X-rays.

Crystal structure
a b c (Å): 9.7885 9.7885 9.7885
angles (deg): 140.31 57.44 140.24
Fractional positions:
Rb: 0.1726 0.2383 0.4109
Rb: 0.3274 0.7383 0.0656
Rb: 0.6726 0.2617 0.9344
Rb: 0.8274 0.7617 0.5891
Mg: 0.2500 0.2500 0.0000
Mg: 0.7500 0.7500 0.0000
Be: 0.2500 0.7500 0.5000
Be: 0.7500 0.2500 0.5000
Sb: 0.0861 0.7165 0.8026
Sb: 0.4139 0.2165 0.6304
Sb: 0.5861 0.7835 0.3696
Sb: 0.9139 0.2835 0.1974

Top 12 peaks for 2θ = 5–70°, by angle:
2θ = 20.7°, intensity 11
2θ = 26.8°, intensity 61
2θ = 28.1°, intensity 100
2θ = 34.1°, intensity 24
2θ = 38.3°, intensity 31
2θ = 46.5°, intensity 22
2θ = 48.1°, intensity 23
2θ = 48.2°, intensity 18
2θ = 50.6°, intensity 9
2θ = 61.7°, intensity 16
2θ = 62.4°, intensity 9
2θ = 63.1°, intensity 9

Entry 6:
Starting from a PBE-relaxed structure, the powder XRD pattern of Mg2BeRh3 was computed for Cu Kα X-rays.

Crystal structure
a b c (Å): 6.6655 6.6655 6.1581
angles (deg): 90.00 90.00 142.92
Fractional positions:
Mg: 0.0000 0.0000 0.0000
Mg: 0.0000 0.0000 0.5000
Mg: 0.3351 0.6649 0.0000
Mg: 0.6649 0.3351 0.0000
Be: 0.3414 0.6586 0.5000
Be: 0.6586 0.3414 0.5000
Rh: 0.1760 0.8240 0.2795
Rh: 0.1760 0.8240 0.7205
Rh: 0.5000 0.5000 0.2657
Rh: 0.5000 0.5000 0.7343
Rh: 0.8240 0.1760 0.2795
Rh: 0.8240 0.1760 0.7205

Top 12 peaks for 2θ = 5–70°, by angle:
2θ = 29.0°, intensity 33
2θ = 29.9°, intensity 67
2θ = 33.3°, intensity 7
2θ = 42.1°, intensity 100
2θ = 42.7°, intensity 27
2θ = 42.9°, intensity 25
2θ = 52.4°, intensity 12
2θ = 52.6°, intensity 11
2θ = 60.1°, intensity 7
2θ = 62.1°, intensity 16
2θ = 68.6°, intensity 7
2θ = 70.0°, intensity 9

Entry 7:
Starting from a PBE-relaxed structure, the powder XRD pattern of MgBeSb2 was computed for Cu Kα X-rays.

Crystal structure
a b c (Å): 3.7062 3.7062 7.6255
angles (deg): 104.40 104.40 60.06
Fractional positions:
Mg: 0.0000 0.0000 0.0000
Be: 0.5000 0.5000 0.5000
Sb: 0.2345 0.2345 0.7032
Sb: 0.7655 0.7655 0.2968

Top 12 peaks for 2θ = 5–70°, by angle:
2θ = 12.1°, intensity 21
2θ = 24.4°, intensity 45
2θ = 28.9°, intensity 86
2θ = 29.1°, intensity 43
2θ = 32.2°, intensity 50
2θ = 32.4°, intensity 100
2θ = 34.6°, intensity 23
2θ = 36.9°, intensity 23
2θ = 43.3°, intensity 28
2θ = 49.2°, intensity 52
2θ = 58.1°, intensity 18
2θ = 60.0°, intensity 16

Entry 8:
Starting from a PBE-relaxed structure, the powder XRD pattern of MgScBe was computed for Cu Kα X-rays.

Crystal structure
a b c (Å): 3.2105 3.2105 6.5376
angles (deg): 90.00 90.00 120.00
Fractional positions:
Mg: 0.0000 0.0000 0.0000
Sc: 0.6667 0.3333 0.4143
Be: 0.3333 0.6667 0.7044

Top 12 peaks for 2θ = 5–70°, by angle:
2θ = 13.5°, intensity 24
2θ = 27.3°, intensity 26
2θ = 32.2°, intensity 19
2θ = 35.1°, intensity 100
2θ = 41.4°, intensity 9
2θ = 42.7°, intensity 37
2θ = 53.4°, intensity 17
2θ = 57.4°, intensity 17
2θ = 59.3°, intensity 2
2θ = 64.7°, intensity 12
2θ = 66.3°, intensity 11
2θ = 69.1°, intensity 12